Record 1
MgTe4MoW3S4: calculated XRD peak list (a wavelength of 1.5418 Å), based on a structure optimized by DFT (GGA-PBE).
Peak positions follow from Bragg's law for the DFT cell and can differ from measured ones.

Most intense lines, 15° ≤ 2θ ≤ 90°, low angle first:
2θ = 30.8°, I 43
2θ = 33.9°, I 17
2θ = 36.2°, I 100
2θ = 39.0°, I 28
2θ = 43.9°, I 45
2θ = 54.7°, I 28

Structural model:
Cell lengths 3.3545, 3.3547, 38.1208 Å; angles 90.00, 90.00, 120.00 degrees
Atoms (fractional coordinates):
Mg 0.0000 0.0000 0.0000
Te 0.0329 0.9836 0.7336
Te 0.0329 0.9836 0.8334
Te 0.3662 0.6501 0.1698
Te 0.3662 0.6502 0.2696
Mo 0.3663 0.6503 0.4077
W 0.0329 0.9835 0.5955
W 0.0329 0.9835 0.2197
W 0.3662 0.6502 0.7835
S 0.0329 0.9836 0.3679
S 0.0329 0.9836 0.4474
S 0.3662 0.6502 0.5556
S 0.3662 0.6502 0.6353

---

Record 2
Li5CuP2O8: calculated XRD peak list (a wavelength of 1.5418 Å), based on a structure optimized by DFT (GGA-PBE).
Peak positions follow from Bragg's law for the DFT cell and can differ from measured ones.

Most intense lines, 15° ≤ 2θ ≤ 90°, low angle first:
2θ = 18.9°, I 72
2θ = 24.5°, I 51
2θ = 33.4°, I 100
2θ = 33.6°, I 55
2θ = 36.1°, I 75
2θ = 38.1°, I 65

Structural model:
Cell lengths 5.3308, 6.2119, 9.9526 Å; angles 90.05, 90.09, 90.11 degrees
Atoms (fractional coordinates):
Li 0.0000 0.0000 0.0000
Li 0.0003 0.4943 0.0004
Li 0.0010 0.4932 0.5003
Li 0.0025 0.0007 0.5008
Li 0.1731 0.2465 0.2502
Li 0.4830 0.7475 0.0010
Li 0.4837 0.7471 0.5001
Li 0.6543 0.4986 0.7512
Li 0.6538 0.9971 0.7503
Li 0.6559 0.5002 0.2514
Cu 0.1544 0.2471 0.7523
Cu 0.6617 0.9895 0.2537
P 0.1522 0.7429 0.2546
P 0.1540 0.7469 0.7550
P 0.5030 0.2500 0.0043
P 0.5050 0.2489 0.5047
O 0.0092 0.5399 0.2026
O 0.0098 0.5454 0.6996
O 0.0103 0.9484 0.7002
O 0.0308 0.9540 0.1987
O 0.1465 0.7470 0.9114
O 0.1482 0.7470 0.4112
O 0.2210 0.2481 0.9609
O 0.2288 0.2469 0.4538
O 0.4272 0.7327 0.2014
O 0.4299 0.7471 0.7048
O 0.5062 0.2566 0.1610
O 0.5181 0.2509 0.6612
O 0.6376 0.0434 0.9521
O 0.6391 0.4551 0.9502
O 0.6418 0.4535 0.4505
O 0.6425 0.0381 0.4596

---

Record 3
Ba2LaMgTaCu2O8: calculated XRD peak list (a wavelength of 1.5418 Å), based on a structure optimized by DFT (GGA-PBE).
Peak positions follow from Bragg's law for the DFT cell and can differ from measured ones.

Most intense lines, 15° ≤ 2θ ≤ 90°, low angle first:
2θ = 25.1°, I 35
2θ = 28.2°, I 22
2θ = 29.5°, I 38
2θ = 30.5°, I 100
2θ = 41.3°, I 21
2θ = 53.0°, I 20

Structural model:
Cell lengths 11.7230, 4.4625, 4.4625 Å; angles 85.34, 90.00, 90.00 degrees
Atoms (fractional coordinates):
Ba 0.1943 0.0000 0.0000
Ba 0.8057 0.0000 0.0000
La 0.5000 0.7750 0.7750
Mg 0.5000 0.2113 0.2113
Ta 0.0000 0.4808 0.4808
Cu 0.3142 0.4940 0.4940
Cu 0.6858 0.4940 0.4940
O 0.0000 0.4237 0.9016
O 0.0000 0.9016 0.4237
O 0.1577 0.3943 0.3943
O 0.3830 0.3352 0.8765
O 0.3830 0.8765 0.3352
O 0.6170 0.3352 0.8765
O 0.6170 0.8765 0.3352
O 0.8423 0.3943 0.3943